For Li4Cr3NiO8, DFT lattice parameters and positions (GGA+U) gives the computed XRD peak list in this record (Cu Kα).
Neutral-atom scattering factors, no anomalous dispersion.

```
data_Li4Cr3NiO8
_cell_length_a 5.1054
_cell_length_b 5.9188
_cell_length_c 5.1287
_cell_angle_alpha 90.00
_cell_angle_beta 109.52
_cell_angle_gamma 90.00
_space_group_name_H-M_alt 'P 1 2/m 1'
_space_group_IT_number 10
_space_group_name_Hall '-P 2y'
loop_
_atom_site_label
_atom_site_fract_x
_atom_site_fract_y
_atom_site_fract_z
Li1 0.0000 0.0000 0.0000
Li2 0.0000 0.5000 0.0000
Li3 0.5000 0.2422 0.0000
Cr1 0.0000 0.2490 0.5000
Cr2 0.5000 0.5000 0.5000
Ni1 0.5000 0.0000 0.5000
O1 0.2343 0.0000 0.7323
O2 0.2467 0.5000 0.7248
O3 0.2599 0.2658 0.2758
```

Most intense lines, 2θ = 10–90°, by angle:
Position (°2θ)  I_rel  index
18.4  1000  0 0 1
35.6  276  1 2 0
35.7  142  2 0 -1
37.2  130  0 0 2
43.3  797  2 0 -2
57.2  157  1 2 2
62.8  212  0 4 0
63.0  214  3 2 -1
66.2  93  3 2 0
79.3  94  2 4 -2